The following is a computed X-ray diffraction stick pattern of Sc2CrTe. It was derived from DFT lattice parameters and positions (GGA-PBE), using λ = 1.5418 Å (Cu Kα).
No peak broadening, texture or thermal motion is included.

Largest 10 diffraction maxima, in order of rising 2θ, 2θ = 10–80°:
- 16.5°, d 5.383, intensity 35, (0 0 2)
- 25.4°, d 3.509, intensity 40, (0 1 1)
- 26.6°, d 3.352, intensity 20, (1 0 2)
- 33.0°, d 2.715, intensity 100, (1 1 1)
- 33.3°, d 2.692, intensity 20, (0 0 4)
- 34.8°, d 2.580, intensity 24, (0 1 3)
- 39.5°, d 2.279, intensity 50, (1 0 4)
- 40.8°, d 2.210, intensity 79, (1 1 3)
- 42.2°, d 2.142, intensity 31, (2 0 0)
- 64.8°, d 1.439, intensity 22, (1 2 4)

Cell and atoms:
```
Sc2CrTe
1.0
4.284 0.000 0.000
0.000 3.712 0.000
0.000 0.000 10.767
Sc Cr Te
4 2 2
direct
0.000 0.000 0.000 Sc
0.000 0.500 0.500 Sc
0.500 0.000 0.302 Sc
0.500 0.500 0.802 Sc
0.000 0.000 0.740 Cr
0.000 0.500 0.240 Cr
0.500 0.000 0.580 Te
0.500 0.500 0.080 Te
```